Computed powder diffractogram of Rb2Pr2MgW4O16 for λ = 1.5418 Å (Cu Kα), from DFT lattice parameters and positions (GGA+U).
Intensities are scaled so that the largest is 1000.

Structural model:
a = 11.235 Å, b = 11.241 Å, c = 7.664 Å
α = 90.00°, β = 130.03°, γ = 90.00°
Space group C2 (No. 5)
Symmetry-distinct sites (fractional):
Rb 0.000 0.000 0.000
Rb 0.000 0.319 0.500
Pr 0.000 0.437 0.000
Pr 0.000 0.978 0.500
Mg 0.000 0.578 0.500
W 0.196 0.702 0.957
W 0.200 0.718 0.457
O 0.014 0.589 0.248
O 0.020 0.808 0.718
O 0.139 0.114 0.453
O 0.142 0.301 0.948
O 0.179 0.760 0.175
O 0.204 0.646 0.709
O 0.213 0.061 0.883
O 0.216 0.364 0.387

Most intense lines, 5° ≤ 2θ ≤ 70°, by intensity:
- 28.2°, d = 3.163 Å, intensity 1000, hkl 2 2 -2
- 26.1°, d = 3.416 Å, intensity 993, hkl 2 2 0
- 30.5°, d = 2.934 Å, intensity 440, hkl 0 0 2
- 15.8°, d = 5.620 Å, intensity 399, hkl 0 2 0
- 32.1°, d = 2.790 Å, intensity 295, hkl 4 0 -2
- 32.2°, d = 2.778 Å, intensity 279, hkl 3 1 0